(1)
This entry pairs a crystal structure of Ce3Ni4Ge4 with its computed X-ray diffraction stick pattern. Radiation: Cu Ka. Structure: the PBE geometry in the Materials Project.
Peak positions follow from Bragg's law for the DFT cell and can differ from measured ones.

Main lines, by angle (5 to 70 degrees two-theta):
d 2.835, I 18
d 2.623, I 100
d 2.246, I 19
d 2.088, I 24
d 2.039, I 20
d 1.932, I 13
d 1.633, I 18
d 1.510, I 10
d 1.459, I 13
d 1.403, I 9

Structure:
```
Ce3Ni4Ge4
1.0
-2.0393 2.0873 11.9877
2.0393 -2.0873 11.9877
2.0393 2.0873 -11.9877
Ce Ni Ge
3 4 4
Direct
0.0000 0.0000 0.0000
0.3492 0.8492 0.5000
0.6508 0.1508 0.5000
0.0967 0.5967 0.5000
0.2496 0.2496 0.0000
0.7504 0.7504 0.0000
0.9033 0.4033 0.5000
0.1974 0.6974 0.5000
0.4470 0.4470 0.0000
0.5530 0.5530 0.0000
0.8026 0.3026 0.5000
```

(2)
This entry pairs a crystal structure of KSbO3 with its computed X-ray diffraction stick pattern. Radiation: Cu Ka. Structure: the PBE geometry in the Materials Project.
Peak positions follow from Bragg's law for the DFT cell and can differ from measured ones.

Main lines, by angle (5 to 70 degrees two-theta):
d 7.255, I 100
d 4.865, I 44
d 3.477, I 27
d 3.438, I 62
d 3.300, I 64
d 2.899, I 62
d 2.870, I 62
d 2.856, I 27
d 2.290, I 32
d 1.771, I 27

Structure:
```
KSbO3
1.0
3.8474 0.0000 0.0000
1.2028 5.7813 0.0000
0.9967 1.1255 7.2545
K Sb O
2 2 6
Direct
0.1470 0.2423 0.1207
0.8530 0.7577 0.8793
0.3005 0.2663 0.6237
0.6995 0.7336 0.3763
0.1785 0.0256 0.4631
0.2470 0.5679 0.3436
0.2772 0.0473 0.8397
0.7228 0.9527 0.1603
0.7530 0.4321 0.6564
0.8215 0.9744 0.5369
```

(3)
This entry pairs a crystal structure of K3LiGe4 with its computed X-ray diffraction stick pattern. Radiation: Cu Ka. Structure: the PBE geometry in the Materials Project.
Peak positions follow from Bragg's law for the DFT cell and can differ from measured ones.

Main lines, by angle (5 to 70 degrees two-theta):
d 6.270, I 50
d 5.524, I 100
d 4.994, I 25
d 3.989, I 36
d 3.906, I 33
d 2.988, I 30
d 2.909, I 37
d 2.854, I 34
d 2.337, I 38
d 2.167, I 22

Structure:
```
K3LiGe4
1.0
7.8115 0.0000 0.0000
0.0000 9.9876 0.0000
0.0000 0.0000 12.5396
K Li Ge
12 4 16
Direct
0.1547 0.0556 0.1935
0.1547 0.4444 0.1935
0.1556 0.2500 0.8996
0.3444 0.7500 0.3996
0.3453 0.5556 0.6935
0.3453 0.9444 0.6935
0.6547 0.0556 0.3065
0.6547 0.4444 0.3065
0.6556 0.2500 0.6004
0.8444 0.7500 0.1004
0.8453 0.5556 0.8065
0.8453 0.9444 0.8065
0.0000 0.0000 0.5000
0.0000 0.5000 0.5000
0.5000 0.0000 0.0000
0.5000 0.5000 0.0000
0.0028 0.2500 0.4138
0.1367 0.2500 0.6068
0.2093 0.6226 0.9507
0.2093 0.8774 0.9507
0.2907 0.1226 0.4507
0.2907 0.3774 0.4507
0.3633 0.7500 0.1068
0.4972 0.7500 0.9138
0.5028 0.2500 0.0862
0.6367 0.2500 0.8932
0.7093 0.6226 0.5493
0.7093 0.8774 0.5493
0.7907 0.1226 0.0493
0.7907 0.3774 0.0493
0.8633 0.7500 0.3932
0.9972 0.7500 0.5862
```

(4)
This entry pairs a crystal structure of CsGeB3O7 with its computed X-ray diffraction stick pattern. Radiation: Cu Ka. Structure: the PBE geometry in the Materials Project.
Peak positions follow from Bragg's law for the DFT cell and can differ from measured ones.

Main lines, by angle (5 to 70 degrees two-theta):
d 4.978, I 24
d 3.780, I 84
d 3.718, I 100
d 3.552, I 52
d 3.489, I 50
d 3.168, I 40
d 3.074, I 28
d 2.365, I 29
d 2.304, I 32
d 2.081, I 29

Structure:
```
CsGeB3O7
1.0
9.6849 0.0000 0.0000
0.0000 10.0631 0.0000
0.0000 0.0000 7.1036
Cs Ge B O
4 4 12 28
Direct
0.0006 0.1732 0.0000
0.4994 0.6732 0.5000
0.5006 0.3268 0.0000
0.9994 0.8268 0.5000
0.2283 0.3899 0.4867
0.2717 0.8899 0.9867
0.7283 0.1101 0.4867
0.7717 0.6101 0.9867
0.0423 0.7161 0.9552
0.1546 0.5642 0.1895
0.1744 0.5115 0.8593
0.3256 0.0115 0.3593
0.3454 0.0642 0.6895
0.4577 0.2161 0.4552
0.5423 0.7839 0.9552
0.6546 0.9358 0.1895
0.6744 0.9885 0.8593
0.8256 0.4885 0.3593
0.8454 0.4358 0.6895
0.9577 0.2839 0.4552
0.0767 0.6724 0.1484
0.0945 0.6172 0.8135
0.1035 0.8484 0.9172
0.1081 0.2656 0.4332
0.1902 0.5452 0.3762
0.2018 0.4786 0.0490
0.2368 0.4264 0.7328
0.2632 0.9264 0.2328
0.2982 0.9786 0.5490
0.3098 0.0452 0.8762
0.3919 0.7656 0.9332
0.3965 0.3484 0.4172
0.4055 0.1172 0.3135
0.4233 0.1724 0.6484
0.5767 0.8276 0.1484
0.5945 0.8828 0.8135
0.6035 0.6516 0.9172
0.6081 0.2344 0.4332
0.6902 0.9548 0.3762
0.7018 0.0214 0.0490
0.7368 0.0736 0.7328
0.7632 0.5736 0.2328
0.7982 0.5214 0.5490
0.8098 0.4548 0.8762
0.8919 0.7344 0.9332
0.8965 0.1516 0.4172
0.9055 0.3828 0.3135
0.9233 0.3276 0.6484
```

(5)
This entry pairs a crystal structure of CeMg14Zr with its computed X-ray diffraction stick pattern. Radiation: Cu Ka. Structure: the PBE geometry in the Materials Project.
Peak positions follow from Bragg's law for the DFT cell and can differ from measured ones.

Main lines, by angle (5 to 70 degrees two-theta):
d 5.631, I 47
d 3.757, I 38
d 2.816, I 30
d 2.733, I 16
d 2.522, I 23
d 2.459, I 100
d 1.879, I 21
d 1.626, I 25
d 1.444, I 18
d 1.366, I 19

Structure:
```
CeMg14Zr
1.0
6.5027 0.0000 0.0000
-3.2513 5.6315 0.0000
0.0000 0.0000 10.0890
Ce Mg Zr
1 14 1
Direct
0.0000 0.0000 0.0000
0.9996 0.4998 0.5000
0.0104 0.5052 0.0000
0.1682 0.3364 0.2571
0.1682 0.3364 0.7429
0.1682 0.8318 0.2571
0.1682 0.8318 0.7429
0.4948 0.5052 0.0000
0.4948 0.9896 0.0000
0.5002 0.0004 0.5000
0.5002 0.4998 0.5000
0.6636 0.8318 0.2571
0.6636 0.8318 0.7429
0.6667 0.3333 0.2434
0.6667 0.3333 0.7566
0.0000 0.0000 0.5000
```

(6)
This entry pairs a crystal structure of Mg14CuW with its computed X-ray diffraction stick pattern. Radiation: Cu Ka. Structure: the PBE geometry in the Materials Project.
Peak positions follow from Bragg's law for the DFT cell and can differ from measured ones.

Main lines, by angle (5 to 70 degrees two-theta):
d 9.814, I 21
d 5.385, I 59
d 4.721, I 25
d 3.627, I 38
d 2.692, I 31
d 2.626, I 18
d 2.454, I 24
d 2.360, I 100
d 1.813, I 19
d 1.398, I 18

Structure:
```
Mg14CuW
1.0
6.2176 0.0000 0.0000
-3.1088 5.3846 0.0000
0.0000 0.0000 9.8144
Mg Cu W
14 1 1
Direct
0.0000 0.0000 0.2483
0.0000 0.0000 0.7517
0.0175 0.5087 0.2486
0.0175 0.5087 0.7514
0.3323 0.1662 0.5000
0.3363 0.1681 0.0000
0.4913 0.5087 0.2486
0.4913 0.5087 0.7514
0.4913 0.9825 0.2486
0.4913 0.9825 0.7514
0.8319 0.1681 0.0000
0.8319 0.6637 0.0000
0.8338 0.1662 0.5000
0.8338 0.6677 0.5000
0.3333 0.6667 0.5000
0.3333 0.6667 0.0000
```

(7)
This entry pairs a crystal structure of Nb10Si3B3 with its computed X-ray diffraction stick pattern. Radiation: Cu Ka. Structure: the PBE geometry in the Materials Project.
Peak positions follow from Bragg's law for the DFT cell and can differ from measured ones.

Main lines, by angle (5 to 70 degrees two-theta):
d 2.938, I 26
d 2.798, I 27
d 2.774, I 56
d 2.759, I 59
d 2.461, I 60
d 2.307, I 89
d 2.298, I 95
d 2.159, I 100
d 2.017, I 54
d 2.008, I 35

Structure:
```
Nb10Si3B3
1.0
0.0000 5.8764 4.5163
4.4840 0.0000 4.5163
4.4840 5.8764 0.0000
Nb Si B
10 3 3
Direct
0.0121 0.6413 0.7047
0.1381 0.8619 0.1381
0.2953 0.3581 0.9879
0.3300 0.8375 0.6700
0.3581 0.2953 0.3587
0.5309 0.8146 0.1854
0.6413 0.0121 0.6419
0.8146 0.5309 0.4691
0.8375 0.3300 0.1625
0.8619 0.1381 0.8619
0.0780 0.0780 0.4220
0.4511 0.4511 0.5489
0.5780 0.5780 0.9220
0.2091 0.2091 0.7909
0.7181 0.9481 0.2819
0.9481 0.7181 0.0519
```

(8)
This entry pairs a crystal structure of Lu5Ge10Ir4 with its computed X-ray diffraction stick pattern. Radiation: Cu Ka. Structure: the PBE geometry in the Materials Project.
Peak positions follow from Bragg's law for the DFT cell and can differ from measured ones.

Main lines, by angle (5 to 70 degrees two-theta):
d 2.759, I 28
d 2.589, I 100
d 2.541, I 60
d 2.492, I 71
d 2.294, I 20
d 2.147, I 53
d 2.134, I 23
d 2.052, I 21
d 2.025, I 30
d 1.375, I 20

Structure:
```
Lu5Ge10Ir4
1.0
12.9781 0.0000 0.0000
0.0000 12.9781 0.0000
0.0000 0.0000 4.2947
Lu Ge Ir
10 20 8
Direct
0.0000 0.0000 0.0000
0.1159 0.3841 0.5000
0.1739 0.6739 0.5000
0.3261 0.1739 0.5000
0.3841 0.8841 0.5000
0.5000 0.5000 0.0000
0.6159 0.1159 0.5000
0.6739 0.8261 0.5000
0.8261 0.3261 0.5000
0.8841 0.6159 0.5000
0.0091 0.8456 0.5000
0.0662 0.5662 0.0000
0.1544 0.0091 0.5000
0.1634 0.2001 0.0000
0.2001 0.8366 0.0000
0.2999 0.3366 0.0000
0.3366 0.7001 0.0000
0.3456 0.5091 0.5000
0.4338 0.0662 0.0000
0.4909 0.3456 0.5000
0.5091 0.6544 0.5000
0.5662 0.9338 0.0000
0.6544 0.4909 0.5000
0.6634 0.2999 0.0000
0.7001 0.6634 0.0000
0.7999 0.1634 0.0000
0.8366 0.7999 0.0000
0.8456 0.9909 0.5000
0.9338 0.4338 0.0000
0.9909 0.1544 0.5000
0.0209 0.7530 0.0000
0.2470 0.0209 0.0000
0.2530 0.5209 0.0000
0.4791 0.2530 0.0000
0.5209 0.7470 0.0000
0.7470 0.4791 0.0000
0.7530 0.9791 0.0000
0.9791 0.2470 0.0000
```